Diffraction record for Tl5BF8. The X-ray diffraction stick pattern is theoretical, not measured: it uses the PBE geometry in Alexandria and a wavelength of 1.5418 Å.
Kinematic intensities with the Lorentz-polarization factor, no thermal factor.

Top 6 peaks for 2θ from 5° to 70°, sorted by position:
2θ = 14.14°, 6.264 Å, I 46; 2θ = 27.08°, 3.293 Å, I 52; 2θ = 27.35°, 3.261 Å, I 100; 2θ = 28.50°, 3.132 Å, I 68; 2θ = 43.52°, 2.080 Å, I 29; 2θ = 47.29°, 1.922 Å, I 41

Crystal structure
Cell lengths 7.6898, 7.6898, 7.6898 Å; angles 120.45, 120.45, 89.23 degrees
Fractional coordinates of all 14 atoms:
Tl  0.0000  0.0000  0.0000
Tl  0.3761  0.1317  0.7557
Tl  0.3761  0.6204  0.2443
Tl  0.3796  0.6239  0.7557
Tl  0.8683  0.6239  0.2443
B  0.7500  0.2500  0.5000
F  0.1420  0.8553  0.2868
F  0.1447  0.4315  0.2868
F  0.1447  0.8580  0.7132
F  0.5685  0.8553  0.7132
F  0.6730  0.3251  0.3479
F  0.6749  0.0229  0.3479
F  0.6749  0.3270  0.6521
F  0.9771  0.3251  0.6521

---

Diffraction record for TbNdAg2. The X-ray diffraction stick pattern is theoretical, not measured: it uses the PBE geometry in Alexandria and a wavelength of 1.5418 Å.
Kinematic intensities with the Lorentz-polarization factor, no thermal factor.

Top 6 peaks for 2θ from 5° to 70°, sorted by position:
2θ = 34.05°, 2.633 Å, I 51; 2θ = 34.31°, 2.613 Å, I 100; 2θ = 48.92°, 1.862 Å, I 18; 2θ = 49.70°, 1.834 Å, I 9; 2θ = 61.11°, 1.516 Å, I 37; 2θ = 61.62°, 1.505 Å, I 18

Crystal structure
Cell lengths 5.2665, 5.2665, 3.6686 Å; angles 90.00, 90.00, 90.00 degrees
Fractional coordinates of all 4 atoms:
Tb  0.0000  0.0000  0.0000
Nd  0.5000  0.5000  0.0000
Ag  0.0000  0.5000  0.5000
Ag  0.5000  0.0000  0.5000